[1]
CsFe2AuCl8: computed powder X-ray diffraction pattern (λ = 1.5418 Å (Cu Kα)), based on a crystal structure in Alexandria, relaxed with GGA-PBE.

Main lines, by angle (15 to 90 degrees two-theta):
- 19.88°, intensity 77
- 20.32°, intensity 63
- 23.33°, intensity 100
- 25.53°, intensity 33
- 27.77°, intensity 27
- 30.76°, intensity 48
- 32.85°, intensity 30
- 33.06°, intensity 37
- 33.74°, intensity 27
- 38.80°, intensity 31
- 43.68°, intensity 27
- 49.21°, intensity 26

Structure:
abc: 7.6940 7.6940 9.0347
angles: 112.03 112.03 53.93
Atoms (fractional coordinates):
Cs 0.0000 0.0000 0.0000
Fe 0.1927 0.1927 0.6690
Fe 0.8073 0.8073 0.3310
Au 0.5000 0.5000 0.5000
Cl 0.1439 0.6396 0.2811
Cl 0.1784 0.1784 0.4189
Cl 0.3604 0.8561 0.7189
Cl 0.3611 0.3611 0.8485
Cl 0.6389 0.6389 0.1515
Cl 0.6396 0.1439 0.2811
Cl 0.8216 0.8216 0.5811
Cl 0.8561 0.3604 0.7189

[2]
Pr2SnB3Rh12: computed powder X-ray diffraction pattern (λ = 1.5418 Å (Cu Kα)), based on a crystal structure in Alexandria, relaxed with GGA-PBE.

Main lines, by angle (15 to 90 degrees two-theta):
- 27.76°, intensity 16
- 34.19°, intensity 18
- 37.58°, intensity 100
- 37.82°, intensity 84
- 38.40°, intensity 41
- 44.35°, intensity 32
- 48.22°, intensity 30
- 59.74°, intensity 18
- 64.02°, intensity 12
- 73.19°, intensity 14
- 73.56°, intensity 30
- 78.72°, intensity 13

Structure:
abc: 7.3020 7.3020 7.3020
angles: 62.25 62.25 62.25
Atoms (fractional coordinates):
Pr 0.0913 0.0913 0.0913
Pr 0.9087 0.9087 0.9087
Sn 0.5000 0.5000 0.5000
B 0.0000 0.5000 0.5000
B 0.5000 0.0000 0.5000
B 0.5000 0.5000 0.0000
Rh 0.0449 0.6529 0.6529
Rh 0.2304 0.2304 0.6199
Rh 0.2304 0.6199 0.2304
Rh 0.3471 0.3471 0.9551
Rh 0.3471 0.9551 0.3471
Rh 0.3801 0.7696 0.7696
Rh 0.6199 0.2304 0.2304
Rh 0.6528 0.0449 0.6528
Rh 0.6528 0.6528 0.0449
Rh 0.7696 0.3801 0.7696
Rh 0.7696 0.7696 0.3801
Rh 0.9551 0.3472 0.3471

[3]
RbBiAs2Pt4: computed powder X-ray diffraction pattern (λ = 1.5418 Å (Cu Kα)), based on a crystal structure in Alexandria, relaxed with GGA-PBE.

Main lines, by angle (15 to 90 degrees two-theta):
- 16.28°, intensity 35
- 24.53°, intensity 18
- 26.89°, intensity 50
- 34.53°, intensity 83
- 39.31°, intensity 100
- 43.28°, intensity 62
- 50.33°, intensity 21
- 52.17°, intensity 27
- 62.87°, intensity 21
- 68.49°, intensity 21
- 73.75°, intensity 19
- 76.72°, intensity 29

Structure:
abc: 4.1807 4.1807 10.8871
angles: 90.00 90.00 90.00
Atoms (fractional coordinates):
Rb 0.0000 0.0000 0.0000
Bi 0.0000 0.0000 0.5000
As 0.5000 0.5000 0.1925
As 0.5000 0.5000 0.8075
Pt 0.0000 0.5000 0.3109
Pt 0.0000 0.5000 0.6891
Pt 0.5000 0.0000 0.3109
Pt 0.5000 0.0000 0.6891

[4]
Cs2GaBiI6: computed powder X-ray diffraction pattern (λ = 1.5418 Å (Cu Kα)), based on a crystal structure in Alexandria, relaxed with GGA-PBE.

Main lines, by angle (15 to 90 degrees two-theta):
- 20.17°, intensity 23
- 24.77°, intensity 63
- 28.68°, intensity 100
- 32.15°, intensity 13
- 35.32°, intensity 12
- 41.01°, intensity 76
- 48.50°, intensity 29
- 50.80°, intensity 27
- 59.38°, intensity 13
- 65.34°, intensity 12
- 67.26°, intensity 35
- 74.70°, intensity 26

Structure:
abc: 8.8032 8.8032 8.8032
angles: 119.98 119.98 90.04
Atoms (fractional coordinates):
Cs 0.2500 0.7500 0.5000
Cs 0.7500 0.2500 0.5000
Ga 0.0000 0.0000 0.0000
Bi 0.5000 0.5000 0.0000
I 0.2509 0.2509 0.0000
I 0.2511 0.2511 0.5022
I 0.2511 0.7489 0.0000
I 0.7489 0.2511 0.0000
I 0.7491 0.7491 0.0000
I 0.7489 0.7489 0.4978

[5]
CrPt5Rh2: computed powder X-ray diffraction pattern (λ = 1.5418 Å (Cu Kα)), based on a crystal structure in Alexandria, relaxed with GGA-PBE.

Main lines, by angle (15 to 90 degrees two-theta):
- 21.06°, intensity 8
- 26.58°, intensity 11
- 33.02°, intensity 3
- 34.16°, intensity 5
- 37.95°, intensity 70
- 42.88°, intensity 100
- 51.17°, intensity 4
- 54.75°, intensity 24
- 69.28°, intensity 6
- 71.95°, intensity 43
- 81.13°, intensity 8
- 81.82°, intensity 15

Structure:
abc: 6.7063 6.7063 5.4249
angles: 90.00 90.00 90.00
Atoms (fractional coordinates):
Cr 0.0000 0.0000 0.0000
Cr 0.5000 0.5000 0.5000
Pt 0.0000 0.0000 0.5000
Pt 0.2500 0.2500 0.2500
Pt 0.2500 0.2500 0.7500
Pt 0.2500 0.7500 0.2500
Pt 0.2500 0.7500 0.7500
Pt 0.5000 0.5000 0.0000
Pt 0.7500 0.2500 0.2500
Pt 0.7500 0.2500 0.7500
Pt 0.7500 0.7500 0.2500
Pt 0.7500 0.7500 0.7500
Rh 0.0000 0.5000 0.0000
Rh 0.0000 0.5000 0.5000
Rh 0.5000 0.0000 0.0000
Rh 0.5000 0.0000 0.5000

[6]
YTm3H8: computed powder X-ray diffraction pattern (λ = 1.5418 Å (Cu Kα)), based on a crystal structure in Alexandria, relaxed with GGA-PBE.

Main lines, by angle (15 to 90 degrees two-theta):
- 17.40°, intensity 5
- 24.71°, intensity 4
- 30.38°, intensity 100
- 35.23°, intensity 49
- 39.55°, intensity 3
- 43.50°, intensity 2
- 50.67°, intensity 37
- 60.24°, intensity 43
- 63.21°, intensity 12
- 74.48°, intensity 6
- 82.52°, intensity 18
- 85.16°, intensity 16

Structure:
abc: 5.0956 5.0956 5.0956
angles: 90.00 90.00 90.00
Atoms (fractional coordinates):
Y 0.0000 0.0000 0.0000
Tm 0.0000 0.5000 0.5000
Tm 0.5000 0.0000 0.5000
Tm 0.5000 0.5000 0.0000
H 0.2534 0.2534 0.2534
H 0.2534 0.2534 0.7466
H 0.2534 0.7466 0.2534
H 0.2534 0.7466 0.7466
H 0.7466 0.2534 0.2534
H 0.7466 0.2534 0.7466
H 0.7466 0.7466 0.2534
H 0.7466 0.7466 0.7466

Which formula does entry 1 have? CsFe2AuCl8